The following is a simulated X-ray powder pattern of Cs2KMoF6. It was derived from a structure optimized by DFT (PBE+U), using Cu Kα (λ = 1.5418 Å).
Intensities are scaled so that the largest is 100.

Structure:
```
Cs2KMoF6
1.0
0.000 4.703 4.703
4.703 0.000 4.703
4.703 4.703 0.000
Cs K Mo F
2 1 1 6
Cartesian
2.351 2.351 2.351 Cs
7.054 7.054 7.054 Cs
0.000 0.000 0.000 K
4.703 4.703 4.703 Mo
4.703 4.703 2.596 F
4.703 2.596 4.703 F
6.810 4.703 4.703 F
2.596 4.703 4.703 F
4.703 6.810 4.703 F
4.703 4.703 6.810 F
```

Top 8 peaks for 10° ≤ 2θ ≤ 80°, low angle first:
2theta	I/Imax
16.3	10
26.8	100
33.0	16
38.3	37
47.3	40
55.2	23
62.4	19
75.7	22

The following is a simulated X-ray powder pattern of K5MnF8. It was derived from a structure optimized by DFT (PBE+U), using Cu Kα (λ = 1.5418 Å).
Intensities are scaled so that the largest is 100.

Structure:
```
K5MnF8
1.0
0.000 5.329 5.329
5.329 0.000 5.329
5.329 5.329 0.000
K Mn F
5 1 8
Cartesian
0.000 0.000 0.000 K
6.673 3.986 3.986 K
3.986 6.673 3.986 K
3.986 3.986 6.673 K
6.673 6.673 6.673 K
2.665 2.665 2.665 Mn
3.788 3.788 3.788 F
6.870 6.870 3.788 F
6.870 3.788 6.870 F
9.206 6.782 6.782 F
6.782 9.206 6.782 F
6.782 6.782 9.206 F
9.206 9.206 9.206 F
3.788 6.870 6.870 F
```

Top 8 peaks for 10° ≤ 2θ ≤ 80°, low angle first:
2theta	I/Imax
23.6	35
27.8	100
33.6	28
41.5	15
44.2	30
48.3	60
56.6	10
67.5	19